No. 1
For AcNd4Pd4, a DFT-relaxed cell (GGA-PBE, Alexandria) gives the calculated powder diffraction line list in this record (Cu Ka).
Lines closer than 0.1° are merged.

```
18
Lattice="9.4386 0.0000 0.0000 0.0000 9.4386 0.0000 0.0000 0.0000 5.9482" Properties=species:S:1:pos:R:3 pbc="T T T"
Ac 2.3597 2.3597 1.4870
Ac 7.0790 7.0790 4.4611
Nd 0.7119 6.1675 1.0125
Nd 1.4482 8.7267 3.9866
Nd 3.2711 5.4312 3.9866
Nd 4.0074 7.9904 1.0125
Nd 5.4312 1.4482 4.9357
Nd 6.1675 4.0074 1.9616
Nd 7.9904 0.7119 1.9616
Nd 8.7267 3.2711 4.9357
Pd 0.3909 5.8780 3.9650
Pd 1.1587 9.0478 0.9909
Pd 3.5606 5.1102 0.9909
Pd 4.3285 8.2799 3.9650
Pd 5.1102 1.1587 1.9832
Pd 5.8780 4.3285 4.9573
Pd 8.2799 0.3909 4.9573
Pd 9.0478 3.5606 1.9832
```

Principal peaks in the range 2θ from 10° to 90°, by intensity:
- d = 2.985 Å, 2θ 29.94, intensity 100
- d = 2.109 Å, 2θ 42.89, intensity 63
- d = 3.442 Å, 2θ 25.88, intensity 33
- d = 2.837 Å, 2θ 31.54, intensity 31
- d = 5.032 Å, 2θ 17.62, intensity 23
- d = 2.974 Å, 2θ 30.05, intensity 20
- d = 2.161 Å, 2θ 41.79, intensity 19
- d = 1.965 Å, 2θ 46.20, intensity 16



No. 2
For Ba2LiPb2, a DFT-relaxed cell (GGA-PBE, Alexandria) gives the calculated powder diffraction line list in this record (Cu Ka).
Lines closer than 0.1° are merged.

```
10
Lattice="6.2303 -2.6390 0.0000 6.2303 2.6390 0.0000 -6.0752 0.0000 11.2111" Properties=species:S:1:pos:R:3 pbc="T T T"
Ba -1.8016 0.0000 3.7529
Ba 1.6994 0.0000 1.1605
Ba 4.6860 0.0000 10.0505
Ba 8.1869 0.0000 7.4582
Li -0.4599 0.0000 7.1474
Li 6.8452 0.0000 4.0637
Pb 1.8272 0.0000 4.8613
Pb 5.3747 0.0000 1.3371
Pb 1.0106 0.0000 9.8740
Pb 4.5582 0.0000 6.3498
```

Principal peaks in the range 2θ from 10° to 90°, by intensity:
- d = 3.287 Å, 2θ 27.13, intensity 100
- d = 3.232 Å, 2θ 27.60, intensity 66
- d = 2.653 Å, 2θ 33.79, intensity 57
- d = 2.639 Å, 2θ 33.97, intensity 42
- d = 3.115 Å, 2θ 28.66, intensity 30
- d = 4.084 Å, 2θ 21.76, intensity 26
- d = 2.979 Å, 2θ 29.99, intensity 26
- d = 4.752 Å, 2θ 18.67, intensity 25



No. 3
For Pr2NdPaRu2, a DFT-relaxed cell (GGA-PBE, Alexandria) gives the calculated powder diffraction line list in this record (Cu Ka).
Lines closer than 0.1° are merged.

```
12
Lattice="-3.5821 6.7800 3.4530 3.5821 -6.7800 3.4530 3.5821 6.7800 -3.4530" Properties=species:S:1:pos:R:3 pbc="T T T"
Pr 1.5022 2.6534 0.0000
Pr 1.5022 -2.6534 3.4530
Pr 2.0799 9.4333 0.0000
Pr 2.0799 4.1266 3.4530
Nd 3.5821 0.0000 1.7265
Nd 0.0000 6.7800 1.7265
Pa 0.0000 0.0000 1.7265
Pa 0.0000 0.0000 5.1795
Ru 5.6955 1.2648 0.0000
Ru 2.1134 5.5152 0.0000
Ru 1.4687 1.2648 3.4530
Ru -2.1134 5.5152 3.4530
```

Principal peaks in the range 2θ from 10° to 90°, by intensity:
- d = 2.486 Å, 2θ 36.13, intensity 100
- d = 2.801 Å, 2θ 31.95, intensity 75
- d = 3.167 Å, 2θ 28.18, intensity 75
- d = 3.077 Å, 2θ 29.02, intensity 74
- d = 6.780 Å, 2θ 13.06, intensity 48
- d = 6.334 Å, 2θ 13.98, intensity 36
- d = 2.419 Å, 2θ 37.17, intensity 31
- d = 2.462 Å, 2θ 36.49, intensity 30